Diffraction record for Li2B7H7. The powder diffractogram is simulated, not measured: it uses a GGA-PBE-relaxed structure and λ = 1.5418 Å (Cu Kα).

The 12 most intense peaks (10° ≤ 2θ ≤ 90°), in order of rising 2θ:
- 18.29 deg, I 36
- 18.54 deg, I 100
- 18.67 deg, I 99
- 20.45 deg, I 9
- 25.25 deg, I 14
- 27.57 deg, I 10
- 32.86 deg, I 4
- 37.59 deg, I 5
- 37.87 deg, I 3
- 40.93 deg, I 4
- 45.38 deg, I 4
- 49.10 deg, I 4

```
Li2B7H7
1.0
3.527 -4.852 0.000
3.527 4.852 0.000
-3.486 0.000 4.343
Li B H
2 7 7
Cartesian
0.000 0.000 0.000 Li
3.527 -0.815 0.000 Li
1.784 4.835 2.171 B
-1.430 0.987 3.453 B
1.588 -2.292 1.377 B
4.999 0.987 0.890 B
0.663 -3.431 2.431 B
1.980 -2.292 2.966 B
2.905 -3.431 1.912 B
0.551 1.403 1.631 H
1.784 3.631 2.171 H
2.277 0.722 0.262 H
1.444 -1.367 0.618 H
1.292 0.722 4.081 H
3.017 1.403 2.712 H
2.124 -1.367 3.725 H
```